Entry 1:
Simulated XRD peak list of Tb2Pm2In7 for copper Kα, from a cell relaxed with PBE.
No peak broadening, texture or thermal motion is included.

Structure:
```
data_Tb2Pm2In7
_chemical_formula_sum 'Tb4 Pm4 In14'
_space_group_name_H-M_alt 'C m m m'
_space_group_IT_number 65
_space_group_name_Hall '-C 2 2'
_cell_length_a 8.506
_cell_length_b 10.788
_cell_length_c 7.670
_cell_angle_alpha 90.00
_cell_angle_beta 90.00
_cell_angle_gamma 90.00
loop_
_atom_site_label
_atom_site_type_symbol
_atom_site_fract_x
_atom_site_fract_y
_atom_site_fract_z
Tb1 Tb 0.185 0.000 0.000
Pm1 Pm 0.000 0.303 0.500
In1 In 0.000 0.000 0.500
In2 In 0.000 0.500 0.195
In3 In 0.250 0.250 0.199
```

Top 6 peaks for 5° ≤ 2θ ≤ 70°, low angle first:
(0 2 1), 20.13 deg, intensity 35
(2 0 1), 23.92 deg, intensity 87
(0 4 0), 33.22 deg, intensity 56
(2 2 2), 35.65 deg, intensity 100
(1 3 2), 35.82 deg, intensity 57
(3 3 1), 42.27 deg, intensity 44

---

Entry 2:
Simulated XRD peak list of Tb4PmIn2 for copper Kα, from a cell relaxed with PBE.
No peak broadening, texture or thermal motion is included.

Structure:
```
data_Tb4PmIn2
_chemical_formula_sum 'Tb16 Pm4 In8'
_space_group_name_H-M_alt 'F m m m'
_space_group_IT_number 69
_space_group_name_Hall '-F 2 2'
_cell_length_a 6.861
_cell_length_b 10.855
_cell_length_c 11.837
_cell_angle_alpha 90.00
_cell_angle_beta 90.00
_cell_angle_gamma 90.00
loop_
_atom_site_label
_atom_site_type_symbol
_atom_site_fract_x
_atom_site_fract_y
_atom_site_fract_z
Tb1 Tb 0.000 0.167 0.000
Tb2 Tb 0.250 0.250 0.250
Pm1 Pm 0.000 0.000 0.500
In1 In 0.000 0.000 0.223
```

Top 6 peaks for 5° ≤ 2θ ≤ 70°, low angle first:
(1 3 1), 28.90 deg, intensity 52
(0 0 4), 30.16 deg, intensity 100
(2 2 0), 30.84 deg, intensity 35
(2 2 2), 34.44 deg, intensity 57
(1 3 3), 36.14 deg, intensity 53
(2 6 4), 66.41 deg, intensity 33

---

Entry 3:
Simulated XRD peak list of Tb2Pm3In for copper Kα, from a cell relaxed with PBE.
No peak broadening, texture or thermal motion is included.

Structure:
```
data_Tb2Pm3In
_chemical_formula_sum 'Tb4 Pm6 In2'
_space_group_name_H-M_alt 'C m m m'
_space_group_IT_number 65
_space_group_name_Hall '-C 2 2'
_cell_length_a 4.959
_cell_length_b 15.303
_cell_length_c 4.928
_cell_angle_alpha 90.00
_cell_angle_beta 90.00
_cell_angle_gamma 90.00
loop_
_atom_site_label
_atom_site_type_symbol
_atom_site_fract_x
_atom_site_fract_y
_atom_site_fract_z
Tb1 Tb 0.000 0.162 0.000
Pm1 Pm 0.000 0.000 0.500
Pm2 Pm 0.000 0.332 0.500
In1 In 0.000 0.500 0.000
```

Top 6 peaks for 5° ≤ 2θ ≤ 70°, low angle first:
(1 3 1), 31.01 deg, intensity 100
(0 6 0), 35.19 deg, intensity 18
(2 0 0), 36.23 deg, intensity 17
(0 0 2), 36.46 deg, intensity 16
(1 9 1), 60.56 deg, intensity 14
(3 3 1), 61.95 deg, intensity 14

---

Entry 4:
Simulated XRD peak list of TbPm6In2 for copper Kα, from a cell relaxed with PBE.
No peak broadening, texture or thermal motion is included.

Structure:
```
data_TbPm6In2
_chemical_formula_sum 'Tb2 Pm12 In4'
_space_group_name_H-M_alt 'A m m 2'
_space_group_IT_number 38
_cell_length_a 4.650
_cell_length_b 14.721
_cell_length_c 8.495
_cell_angle_alpha 90.00
_cell_angle_beta 90.00
_cell_angle_gamma 90.00
loop_
_space_group_symop_operation_xyz
'x,y,z'
'-x,-y,z'
'-x,y,z'
'x,-y,z'
'x,y+1/2,z+1/2'
'-x,-y+1/2,z+1/2'
'-x,y+1/2,z+1/2'
'x,-y+1/2,z+1/2'
loop_
_atom_site_label
_atom_site_type_symbol
_atom_site_fract_x
_atom_site_fract_y
_atom_site_fract_z
Tb1 Tb 0.000 0.000 0.000
Pm1 Pm 0.000 0.000 0.588
Pm2 Pm 0.000 0.206 0.205
Pm3 Pm 0.500 0.000 0.266
Pm4 Pm 0.500 0.133 0.866
In1 In 0.500 0.167 0.499
```

Top 6 peaks for 5° ≤ 2θ ≤ 70°, low angle first:
(1 0 2), 28.46 deg, intensity 99
(1 2 2), 30.99 deg, intensity 100
(0 5 1), 32.18 deg, intensity 42
(0 3 3), 36.63 deg, intensity 43
(2 0 0), 38.73 deg, intensity 31
(1 8 2), 58.13 deg, intensity 38